# Tb12Pr2Th
Simulated powder XRD pattern, Cu Kα, 1.54184 Å. Input: a structure optimized by DFT (PBE).
Lines closer than 0.1° are merged.

Top 6 peaks for 2θ = 10–80°, by angle:
2theta	I (rel.)
29.5	60
30.6	79
31.1	100
32.7	81
33.1	62
37.0	71

```
data_Tb12Pr2Th
_space_group_name_H-M_alt 'P 1'
_space_group_IT_number 1
_cell_length_a 3.518
_cell_length_b 5.750
_cell_length_c 24.885
_cell_angle_alpha 90.00
_cell_angle_beta 90.00
_cell_angle_gamma 90.00
loop_
_space_group_symop_operation_xyz
'x,y,z'
loop_
_atom_site_label
_atom_site_fract_x
_atom_site_fract_y
_atom_site_fract_z
_atom_site_occupancy
Tb1 0.000 0.000 0.062 1
Tb2 0.000 0.000 0.425 1
Tb3 0.000 0.000 0.575 1
Tb4 0.000 0.000 0.938 1
Tb5 0.500 0.000 0.173 1
Tb6 0.500 0.000 0.302 1
Tb7 0.500 0.000 0.698 1
Tb8 0.500 0.000 0.827 1
Tb9 0.500 0.500 0.084 1
Tb10 0.500 0.500 0.376 1
Tb11 0.500 0.500 0.624 1
Tb12 0.500 0.500 0.916 1
Pr1 0.000 0.500 0.232 1
Pr2 0.000 0.500 0.768 1
Th1 0.000 0.500 0.500 1
```

=====

# Dy2CuAgS4
Simulated powder XRD pattern, Cu Kα, 1.54184 Å. Input: a structure optimized by DFT (PBE).
Lines closer than 0.1° are merged.

Top 6 peaks for 2θ = 10–80°, by angle:
2theta	I (rel.)
27.5	45
27.8	43
29.8	100
36.0	33
47.4	52
51.4	19

```
data_Dy2CuAgS4
_space_group_name_H-M_alt 'P 1'
_space_group_IT_number 1
_cell_length_a 7.798
_cell_length_b 7.798
_cell_length_c 7.798
_cell_angle_alpha 114.79
_cell_angle_beta 113.59
_cell_angle_gamma 100.41
loop_
_space_group_symop_operation_xyz
'x,y,z'
loop_
_atom_site_label
_atom_site_fract_x
_atom_site_fract_y
_atom_site_fract_z
_atom_site_occupancy
Dy1 0.000 0.000 0.000 1
Dy2 0.500 0.000 0.000 1
Dy3 0.500 0.000 0.500 1
Dy4 0.500 0.500 0.500 1
Cu1 0.000 0.000 0.500 1
Cu2 0.000 0.500 0.000 1
Ag1 0.000 0.500 0.500 1
Ag2 0.500 0.500 0.000 1
S1 0.224 0.191 0.467 1
S2 0.224 0.757 0.033 1
S3 0.280 0.740 0.541 1
S4 0.301 0.260 0.041 1
S5 0.699 0.740 0.959 1
S6 0.720 0.260 0.459 1
S7 0.776 0.243 0.967 1
S8 0.776 0.809 0.533 1
```

=====

Repeat the second record exactly.
# Dy2CuAgS4
Simulated powder XRD pattern, Cu Kα, 1.54184 Å. Input: a structure optimized by DFT (PBE).
Lines closer than 0.1° are merged.

Top 6 peaks for 2θ = 10–80°, by angle:
2theta	I (rel.)
27.5	45
27.8	43
29.8	100
36.0	33
47.4	52
51.4	19

```
data_Dy2CuAgS4
_space_group_name_H-M_alt 'P 1'
_space_group_IT_number 1
_cell_length_a 7.798
_cell_length_b 7.798
_cell_length_c 7.798
_cell_angle_alpha 114.79
_cell_angle_beta 113.59
_cell_angle_gamma 100.41
loop_
_space_group_symop_operation_xyz
'x,y,z'
loop_
_atom_site_label
_atom_site_fract_x
_atom_site_fract_y
_atom_site_fract_z
_atom_site_occupancy
Dy1 0.000 0.000 0.000 1
Dy2 0.500 0.000 0.000 1
Dy3 0.500 0.000 0.500 1
Dy4 0.500 0.500 0.500 1
Cu1 0.000 0.000 0.500 1
Cu2 0.000 0.500 0.000 1
Ag1 0.000 0.500 0.500 1
Ag2 0.500 0.500 0.000 1
S1 0.224 0.191 0.467 1
S2 0.224 0.757 0.033 1
S3 0.280 0.740 0.541 1
S4 0.301 0.260 0.041 1
S5 0.699 0.740 0.959 1
S6 0.720 0.260 0.459 1
S7 0.776 0.243 0.967 1
S8 0.776 0.809 0.533 1
```